1.
For PrDy2Cd3, the PBE geometry in Alexandria gives the simulated powder diffractogram in this record (λ = 1.5418 Å (Cu Kα)).
Peak positions follow from Bragg's law for the DFT cell and can differ from measured ones.

Most intense lines, 10° ≤ 2θ ≤ 80°, low angle first:
| Position (°2θ) | intensity |
| --- | --- |
| 33.3 | 100.0 |
| 33.6 | 49.2 |
| 48.3 | 17.5 |
| 59.3 | 18.0 |
| 59.9 | 17.8 |
| 60.0 | 18.0 |

Crystal structure
```
data_PrDy2Cd3
_chemical_formula_sum 'Pr4 Dy8 Cd12'
_cell_length_a 5.3224
_cell_length_b 16.0038
_cell_length_c 7.6766
_cell_angle_alpha 90.00
_cell_angle_beta 90.00
_cell_angle_gamma 90.00
_space_group_name_H-M_alt 'C m m m'
_space_group_IT_number 65
_space_group_name_Hall '-C 2 2'
loop_
_atom_site_label
_atom_site_type_symbol
_atom_site_fract_x
_atom_site_fract_y
_atom_site_fract_z
_atom_site_occupancy
Pr1 Pr 0.0000 0.1655 0.0000 1
Dy1 Dy 0.0000 0.1690 0.5000 1
Dy2 Dy 0.0000 0.5000 0.0000 1
Dy3 Dy 0.0000 0.5000 0.5000 1
Cd1 Cd 0.0000 0.0000 0.2626 1
Cd2 Cd 0.0000 0.3368 0.2625 1
```

2.
For Pm3PdSeCl, the PBE geometry in Alexandria gives the simulated powder diffractogram in this record (λ = 1.5418 Å (Cu Kα)).
Peak positions follow from Bragg's law for the DFT cell and can differ from measured ones.

Most intense lines, 10° ≤ 2θ ≤ 80°, low angle first:
| Position (°2θ) | intensity |
| --- | --- |
| 28.8 | 52.7 |
| 30.8 | 52.5 |
| 31.0 | 100.0 |
| 35.9 | 48.4 |
| 43.1 | 26.6 |
| 44.2 | 32.8 |

Crystal structure
```
data_Pm3PdSeCl
_chemical_formula_sum 'Pm6 Pd2 Se2 Cl2'
_cell_length_a 8.3897
_cell_length_b 4.0950
_cell_length_c 9.5682
_cell_angle_alpha 90.00
_cell_angle_beta 103.82
_cell_angle_gamma 90.00
_space_group_name_H-M_alt 'P 1 21/m 1'
_space_group_IT_number 11
loop_
_space_group_symop_operation_xyz
'x,y,z'
'-x,-y,-z'
'-x,y+1/2,-z'
'x,-y+1/2,z'
loop_
_atom_site_label
_atom_site_type_symbol
_atom_site_fract_x
_atom_site_fract_y
_atom_site_fract_z
_atom_site_occupancy
Pm1 Pm 0.0730 0.2500 0.3365 1
Pm2 Pm 0.2191 0.2500 0.9936 1
Pm3 Pm 0.4008 0.7500 0.6090 1
Pd1 Pd 0.1642 0.2500 0.6499 1
Se1 Se 0.3144 0.7500 0.2613 1
Cl1 Cl 0.3998 0.7500 0.8961 1
```

3.
For AcNdHo3, the PBE geometry in Alexandria gives the simulated powder diffractogram in this record (λ = 1.5418 Å (Cu Kα)).
Peak positions follow from Bragg's law for the DFT cell and can differ from measured ones.

Most intense lines, 10° ≤ 2θ ≤ 80°, low angle first:
| Position (°2θ) | intensity |
| --- | --- |
| 27.8 | 35.7 |
| 30.6 | 37.0 |
| 31.8 | 100.0 |
| 31.9 | 50.9 |
| 49.2 | 30.0 |
| 55.3 | 21.0 |

Crystal structure
```
data_AcNdHo3
_chemical_formula_sum 'Ac4 Nd4 Ho12'
_cell_length_a 9.4592
_cell_length_b 6.4137
_cell_length_c 12.5392
_cell_angle_alpha 90.00
_cell_angle_beta 114.14
_cell_angle_gamma 90.00
_space_group_name_H-M_alt 'P 1 21/c 1'
_space_group_IT_number 14
loop_
_space_group_symop_operation_xyz
'x,y,z'
'-x,-y,-z'
'-x,y+1/2,-z+1/2'
'x,-y+1/2,z+1/2'
loop_
_atom_site_label
_atom_site_type_symbol
_atom_site_fract_x
_atom_site_fract_y
_atom_site_fract_z
_atom_site_occupancy
Ac1 Ac 0.1539 0.1744 0.1018 1
Nd1 Nd 0.2611 0.6656 0.0013 1
Ho1 Ho 0.0511 0.6659 0.2049 1
Ho2 Ho 0.3543 0.1626 0.9020 1
Ho3 Ho 0.4460 0.6716 0.7994 1
```

4.
For SbS6Br2, the PBE geometry in Alexandria gives the simulated powder diffractogram in this record (λ = 1.5418 Å (Cu Kα)).
Peak positions follow from Bragg's law for the DFT cell and can differ from measured ones.

Most intense lines, 10° ≤ 2θ ≤ 80°, low angle first:
| Position (°2θ) | intensity |
| --- | --- |
| 10.1 | 95.1 |
| 12.8 | 100.0 |
| 19.4 | 61.7 |
| 24.5 | 66.0 |
| 28.2 | 59.5 |
| 31.8 | 78.3 |

Crystal structure
```
data_SbS6Br2
_chemical_formula_sum 'Sb1 S6 Br2'
_cell_length_a 4.2795
_cell_length_b 7.4560
_cell_length_c 9.5139
_cell_angle_alpha 67.62
_cell_angle_beta 89.53
_cell_angle_gamma 89.93
_space_group_name_H-M_alt 'P -1'
_space_group_IT_number 2
loop_
_space_group_symop_operation_xyz
'x,y,z'
'-x,-y,-z'
loop_
_atom_site_label
_atom_site_type_symbol
_atom_site_fract_x
_atom_site_fract_y
_atom_site_fract_z
_atom_site_occupancy
Sb1 Sb 0.0000 0.0000 0.0000 1
S1 S 0.0883 0.1257 0.6440 1
S2 S 0.1029 0.1514 0.2854 1
S3 S 0.1111 0.7335 0.5717 1
Br1 Br 0.4964 0.7226 0.0831 1
```

5.
For Cs2Na9Bi6, the PBE geometry in Alexandria gives the simulated powder diffractogram in this record (λ = 1.5418 Å (Cu Kα)).
Peak positions follow from Bragg's law for the DFT cell and can differ from measured ones.

Most intense lines, 10° ≤ 2θ ≤ 80°, low angle first:
| Position (°2θ) | intensity |
| --- | --- |
| 14.5 | 21.5 |
| 17.0 | 43.5 |
| 25.2 | 66.8 |
| 30.6 | 100.0 |
| 43.2 | 31.8 |
| 47.9 | 29.4 |

Crystal structure
```
data_Cs2Na9Bi6
_chemical_formula_sum 'Cs2 Na9 Bi6'
_cell_length_a 7.0701
_cell_length_b 7.0701
_cell_length_c 15.6225
_cell_angle_alpha 90.00
_cell_angle_beta 90.00
_cell_angle_gamma 120.00
_space_group_name_H-M_alt 'P 6/m m m'
_space_group_IT_number 191
_space_group_name_Hall '-P 6 2'
loop_
_atom_site_label
_atom_site_type_symbol
_atom_site_fract_x
_atom_site_fract_y
_atom_site_fract_z
_atom_site_occupancy
Cs1 Cs 0.0000 0.0000 0.1784 1
Na1 Na 0.0000 0.5000 0.0000 1
Na2 Na 0.0000 0.5000 0.3375 1
Bi1 Bi 0.3333 0.6667 0.1677 1
Bi2 Bi 0.3333 0.6667 0.5000 1
```

6.
For LiCd2InHg8, the PBE geometry in Alexandria gives the simulated powder diffractogram in this record (λ = 1.5418 Å (Cu Kα)).
Peak positions follow from Bragg's law for the DFT cell and can differ from measured ones.

Most intense lines, 10° ≤ 2θ ≤ 80°, low angle first:
| Position (°2θ) | intensity |
| --- | --- |
| 31.6 | 22.8 |
| 33.4 | 100.0 |
| 34.7 | 45.6 |
| 35.6 | 39.4 |
| 53.8 | 19.2 |
| 56.3 | 26.7 |

Crystal structure
```
data_LiCd2InHg8
_chemical_formula_sum 'Li1 Cd2 In1 Hg8'
_cell_length_a 6.5372
_cell_length_b 6.5372
_cell_length_c 8.4368
_cell_angle_alpha 90.00
_cell_angle_beta 90.00
_cell_angle_gamma 120.00
_space_group_name_H-M_alt 'P -3 m 1'
_space_group_IT_number 164
_space_group_name_Hall '-P 3 2"'
loop_
_atom_site_label
_atom_site_type_symbol
_atom_site_fract_x
_atom_site_fract_y
_atom_site_fract_z
_atom_site_occupancy
Li1 Li 0.0000 0.0000 0.0000 1
Cd1 Cd 0.3333 0.6667 0.9132 1
In1 In 0.0000 0.0000 0.5000 1
Hg1 Hg 0.1747 0.3493 0.2239 1
Hg2 Hg 0.3333 0.6667 0.5599 1
```

7.
For Sm2Fe12Si7, the PBE geometry in Alexandria gives the simulated powder diffractogram in this record (λ = 1.5418 Å (Cu Kα)).
Peak positions follow from Bragg's law for the DFT cell and can differ from measured ones.

Most intense lines, 10° ≤ 2θ ≤ 80°, low angle first:
| Position (°2θ) | intensity |
| --- | --- |
| 26.2 | 17.3 |
| 38.3 | 100.0 |
| 39.2 | 16.9 |
| 47.8 | 18.7 |
| 48.5 | 20.3 |
| 74.5 | 15.3 |

Crystal structure
```
data_Sm2Fe12Si7
_chemical_formula_sum 'Sm2 Fe12 Si7'
_cell_length_a 9.1854
_cell_length_b 9.1854
_cell_length_c 3.7562
_cell_angle_alpha 90.00
_cell_angle_beta 90.00
_cell_angle_gamma 120.00
_space_group_name_H-M_alt 'P -6'
_space_group_IT_number 174
loop_
_space_group_symop_operation_xyz
'x,y,z'
'-x+y,-x,-z'
'-y,x-y,z'
'x,y,-z'
'-x+y,-x,z'
'-y,x-y,-z'
loop_
_atom_site_label
_atom_site_type_symbol
_atom_site_fract_x
_atom_site_fract_y
_atom_site_fract_z
_atom_site_occupancy
Sm1 Sm 0.0000 0.0000 0.0000 1
Sm2 Sm 0.3333 0.6667 0.5000 1
Fe1 Fe 0.0560 0.7612 0.5000 1
Fe2 Fe 0.1094 0.3722 0.0000 1
Fe3 Fe 0.3883 0.2046 0.0000 1
Fe4 Fe 0.5587 0.1225 0.5000 1
Si1 Si 0.0539 0.5966 0.0000 1
Si2 Si 0.2733 0.0510 0.5000 1
Si3 Si 0.6667 0.3333 0.0000 1
```

8.
For Er3Cd3C, the PBE geometry in Alexandria gives the simulated powder diffractogram in this record (λ = 1.5418 Å (Cu Kα)).
Peak positions follow from Bragg's law for the DFT cell and can differ from measured ones.

Most intense lines, 10° ≤ 2θ ≤ 80°, low angle first:
| Position (°2θ) | intensity |
| --- | --- |
| 29.0 | 15.5 |
| 32.6 | 39.4 |
| 34.7 | 100.0 |
| 37.9 | 25.0 |
| 58.3 | 41.4 |
| 69.6 | 19.8 |

Crystal structure
a b c (Å): 13.4394 13.4394 13.4394
angles (deg): 90.00 90.00 90.00
Space group Fd-3m (No. 227, origin choice 2)
One atom of each set of equivalent atoms:
Er (0.0638, 0.3750, 0.3750) (multiplicity 48)
Cd (0.0000, 0.0000, 0.5000) (multiplicity 16)
Cd (0.0415, 0.0415, 0.7085) (multiplicity 32)
C (0.0000, 0.0000, 0.0000) (multiplicity 16)

9.
For Pm3Y6ErTh2, the PBE geometry in Alexandria gives the simulated powder diffractogram in this record (λ = 1.5418 Å (Cu Kα)).
Peak positions follow from Bragg's law for the DFT cell and can differ from measured ones.

Most intense lines, 10° ≤ 2θ ≤ 80°, low angle first:
| Position (°2θ) | intensity |
| --- | --- |
| 30.5 | 100.0 |
| 30.7 | 32.7 |
| 35.4 | 66.9 |
| 50.9 | 23.9 |
| 51.1 | 23.5 |
| 60.6 | 28.1 |

Crystal structure
```
data_Pm3Y6ErTh2
_chemical_formula_sum 'Pm6 Y12 Er2 Th4'
_cell_length_a 6.2203
_cell_length_b 10.7675
_cell_length_c 11.8420
_cell_angle_alpha 90.00
_cell_angle_beta 100.09
_cell_angle_gamma 90.00
_space_group_name_H-M_alt 'C 1 2/m 1'
_space_group_IT_number 12
loop_
_space_group_symop_operation_xyz
'x,y,z'
'-x,-y,-z'
'-x,y,-z'
'x,-y,z'
'x+1/2,y+1/2,z'
'-x+1/2,-y+1/2,-z'
'-x+1/2,y+1/2,-z'
'x+1/2,-y+1/2,z'
loop_
_atom_site_label
_atom_site_type_symbol
_atom_site_fract_x
_atom_site_fract_y
_atom_site_fract_z
_atom_site_occupancy
Pm1 Pm 0.0000 0.0000 0.0000 1
Pm2 Pm 0.0000 0.3336 0.0000 1
Y1 Y 0.2447 0.0000 0.7456 1
Y2 Y 0.2499 0.1685 0.2548 1
Er1 Er 0.0000 0.5000 0.5000 1
Th1 Th 0.0000 0.1665 0.5000 1
```

10.
For Rb6InHg4, the PBE geometry in Alexandria gives the simulated powder diffractogram in this record (λ = 1.5418 Å (Cu Kα)).
Peak positions follow from Bragg's law for the DFT cell and can differ from measured ones.

Most intense lines, 10° ≤ 2θ ≤ 80°, low angle first:
| Position (°2θ) | intensity |
| --- | --- |
| 19.9 | 68.8 |
| 25.0 | 72.0 |
| 26.4 | 100.0 |
| 27.9 | 78.6 |
| 30.1 | 90.2 |
| 34.7 | 56.1 |

Crystal structure
```
data_Rb6InHg4
_chemical_formula_sum 'Rb12 In2 Hg8'
_cell_length_a 11.8624
_cell_length_b 11.8624
_cell_length_c 8.9594
_cell_angle_alpha 90.00
_cell_angle_beta 90.00
_cell_angle_gamma 120.00
_space_group_name_H-M_alt 'P 63 m c'
_space_group_IT_number 186
_space_group_name_Hall 'P 6c -2c'
loop_
_atom_site_label
_atom_site_type_symbol
_atom_site_fract_x
_atom_site_fract_y
_atom_site_fract_z
_atom_site_occupancy
Rb1 Rb 0.0584 0.5292 0.0000 1
Rb2 Rb 0.1334 0.2668 0.6792 1
In1 In 0.3333 0.6667 0.3968 1
Hg1 Hg 0.1976 0.3951 0.2841 1
Hg2 Hg 0.3333 0.6667 0.7302 1
```

11.
For AcLaSi2Pt4, the PBE geometry in Alexandria gives the simulated powder diffractogram in this record (λ = 1.5418 Å (Cu Kα)).
Peak positions follow from Bragg's law for the DFT cell and can differ from measured ones.

Most intense lines, 10° ≤ 2θ ≤ 80°, low angle first:
| Position (°2θ) | intensity |
| --- | --- |
| 19.8 | 14.9 |
| 28.5 | 20.2 |
| 35.0 | 100.0 |
| 40.3 | 39.6 |
| 59.0 | 20.5 |
| 69.8 | 27.6 |

Crystal structure
```
data_AcLaSi2Pt4
_chemical_formula_sum 'Ac1 La1 Si2 Pt4'
_cell_length_a 4.4783
_cell_length_b 4.4783
_cell_length_c 8.7511
_cell_angle_alpha 90.00
_cell_angle_beta 90.00
_cell_angle_gamma 90.00
_space_group_name_H-M_alt 'P 4/m m m'
_space_group_IT_number 123
_space_group_name_Hall '-P 4 2'
loop_
_atom_site_label
_atom_site_type_symbol
_atom_site_fract_x
_atom_site_fract_y
_atom_site_fract_z
_atom_site_occupancy
Ac1 Ac 0.0000 0.0000 0.0000 1
La1 La 0.0000 0.0000 0.5000 1
Si1 Si 0.5000 0.5000 0.1524 1
Pt1 Pt 0.0000 0.5000 0.2625 1
```

12.
For Rb4Co, the PBE geometry in Alexandria gives the simulated powder diffractogram in this record (λ = 1.5418 Å (Cu Kα)).
Peak positions follow from Bragg's law for the DFT cell and can differ from measured ones.

Most intense lines, 10° ≤ 2θ ≤ 80°, low angle first:
| Position (°2θ) | intensity |
| --- | --- |
| 21.8 | 91.6 |
| 25.2 | 100.0 |
| 36.0 | 77.7 |
| 42.5 | 46.6 |
| 44.5 | 28.0 |
| 58.5 | 36.5 |

Crystal structure
```
data_Rb4Co
_chemical_formula_sum 'Rb4 Co1'
_cell_length_a 7.0583
_cell_length_b 7.0583
_cell_length_c 7.0583
_cell_angle_alpha 90.00
_cell_angle_beta 90.00
_cell_angle_gamma 90.00
_space_group_name_H-M_alt 'P m -3 m'
_space_group_IT_number 221
_space_group_name_Hall '-P 4 2 3'
loop_
_atom_site_label
_atom_site_type_symbol
_atom_site_fract_x
_atom_site_fract_y
_atom_site_fract_z
_atom_site_occupancy
Rb1 Rb 0.0000 0.0000 0.0000 1
Rb2 Rb 0.0000 0.5000 0.5000 1
Co1 Co 0.5000 0.5000 0.5000 1
```